Structure and theoretical PXRD pattern of Li2MnF6 (DFT lattice parameters and positions (GGA+U); copper Kα).
Kinematic intensities with the Lorentz-polarization factor, no thermal factor.

The 10 most intense peaks (2θ = 10–90°), sorted by position:
2theta  I_rel  hkl
20.7  100  0 1 1
21.0  41  1 0 0
21.2  42  1 0 -2
23.8  49  0 0 2
24.4  87  1 1 -1
39.4  20  2 1 -2
40.4  60  1 0 -4
41.2  28  2 1 -1
49.9  21  2 2 -2
55.3  13  1 1 -5

Structural model:
```
Li2MnF6
1.0
5.090 0.000 0.000
0.000 5.246 0.000
-5.037 0.000 7.476
Li Mn F
4 2 12
direct
0.000 0.188 0.000
0.000 0.812 0.500
0.222 0.260 0.728
0.222 0.740 0.228
0.714 0.259 0.218
0.714 0.741 0.718
0.055 0.076 0.257
0.055 0.924 0.757
0.353 0.434 0.162
0.353 0.566 0.662
0.461 0.025 0.645
0.461 0.975 0.145
0.613 0.307 0.987
0.613 0.693 0.487
0.844 0.187 0.449
0.844 0.813 0.949
0.941 0.437 0.793
0.941 0.563 0.293
```